1.
The following is a calculated PXRD pattern of Ni5GeB2Pt2. It was derived from a PBE-relaxed structure, using a wavelength of 1.5418 Å.
Lines closer than 0.1° are merged.

Main lines, in order of rising 2θ (5° ≤ 2θ ≤ 70°):
h k l  2theta  d [Å]  I (rel.)
2 1 0  24.13  3.689  47
2 0 1  35.34  2.540  19
2 1 1  37.03  2.427  100
2 2 1  41.77  2.163  30
3 1 1  44.69  2.028  76
4 1 0  45.33  2.001  64
3 3 0  46.72  1.944  20
3 2 1  48.81  1.866  16
4 2 0  49.41  1.844  14
0 0 2  57.15  1.612  20

abc: 8.2485 8.2485 3.2237
angles: 90.00 90.00 90.00
Space group P4/mbm (No. 127)
Inequivalent atoms, fractional coordinates:
1 Ni 0.0000 0.5000 0.0000
2 Ni 0.0677 0.2136 0.0000
3 Ge 0.0000 0.0000 0.5000
4 B 0.1241 0.3759 0.5000
5 Pt 0.1770 0.6770 0.5000

2.
The following is a calculated PXRD pattern of Np3GeB2Rh9. It was derived from a PBE-relaxed structure, using a wavelength of 1.5418 Å.
Lines closer than 0.1° are merged.

Main lines, in order of rising 2θ (5° ≤ 2θ ≤ 70°):
h k l  2theta  d [Å]  I (rel.)
1 0 1  20.62  4.308  11
1 1 0  27.29  3.268  20
0 1 2  31.23  2.864  15
0 2 1  34.45  2.604  100
0 0 3  40.76  2.214  22
2 0 2  41.94  2.154  72
1 2 1  44.49  2.036  9
2 2 0  56.30  1.634  27
0 2 4  65.14  1.432  19
4 0 1  67.70  1.384  12

abc: 6.5361 6.5361 6.6414
angles: 90.00 90.00 120.00
Space group P-3m1 (No. 164)
Inequivalent atoms, fractional coordinates:
1 Np 0.0000 0.0000 0.0000
2 Np 0.3333 0.6667 0.6834
3 Ge 0.0000 0.0000 0.5000
4 B 0.3333 0.6667 0.1395
5 Rh 0.0000 0.5000 0.0000
6 Rh 0.1897 0.3794 0.3410

3.
The following is a calculated PXRD pattern of Rb4Ge3B6O17. It was derived from a PBE-relaxed structure, using a wavelength of 1.5418 Å.
Lines closer than 0.1° are merged.

Main lines, in order of rising 2θ (5° ≤ 2θ ≤ 70°):
h k l  2theta  d [Å]  I (rel.)
0 2 0  25.21  3.532  49
3 1 -1  25.53  3.489  100
0 0 6  26.71  3.338  35
2 0 -6  27.39  3.256  47
1 1 5  28.21  3.164  51
3 1 -5  30.61  2.921  30
0 2 4  30.98  2.887  21
3 1 -7  36.49  2.462  16
2 2 -6  37.57  2.394  17
6 0 -4  45.64  1.988  14

abc: 12.0615 7.0640 20.6322
angles: 90.00 103.90 90.00
Space group Cc (No. 9)
Inequivalent atoms, fractional coordinates:
1 Rb 0.0000 0.1628 0.0000
2 Rb 0.0921 0.2711 0.1853
3 Rb 0.2910 0.2555 0.7354
4 Rb 0.2979 0.2370 0.9209
5 Ge 0.1198 0.2748 0.3812
6 Ge 0.1828 0.3468 0.5399
7 Ge 0.4668 0.2760 0.2116
8 B 0.0216 0.0911 0.8403
9 B 0.2896 0.3134 0.0981
10 B 0.3193 0.3073 0.3341
11 B 0.3276 0.0264 0.5843
12 B 0.4665 0.0722 0.3271
13 B 0.4768 0.2191 0.0810
14 O 0.0345 0.0514 0.7709
15 O 0.0469 0.2479 0.5322
16 O 0.0474 0.2863 0.8612
17 O 0.0483 0.2492 0.6509
18 O 0.1009 0.0301 0.3889
19 O 0.1848 0.4223 0.0704
20 O 0.2044 0.3586 0.3268
21 O 0.2115 0.3479 0.4588
22 O 0.2500 0.1085 0.0912
23 O 0.3018 0.2196 0.5888
24 O 0.3276 0.3581 0.1716
25 O 0.3466 0.1205 0.3314
26 O 0.3792 0.3459 0.0633
27 O 0.3975 0.4523 0.3415
28 O 0.4350 0.0142 0.0767
29 O 0.4658 0.0558 0.2537
30 O 0.4860 0.1176 0.8573

4.
The following is a calculated PXRD pattern of RbGeB3O7. It was derived from a PBE-relaxed structure, using a wavelength of 1.5418 Å.
Lines closer than 0.1° are merged.

Main lines, in order of rising 2θ (5° ≤ 2θ ≤ 70°):
h k l  2theta  d [Å]  I (rel.)
1 1 1  18.07  4.908  46
1 2 0  20.38  4.358  47
1 2 1  24.00  3.707  75
2 1 1  24.29  3.664  100
0 0 2  25.25  3.527  70
2 2 0  26.08  3.417  82
3 1 0  29.54  3.023  28
1 2 2  32.66  2.742  40
1 3 2  38.74  2.324  30
2 1 3  43.92  2.062  35

abc: 9.5358 9.7985 7.0543
angles: 90.00 90.00 90.00
Space group Pna2_1 (No. 33)
Inequivalent atoms, fractional coordinates:
1 Rb 0.0205 0.1746 0.0000
2 Ge 0.2387 0.6023 0.0166
3 B 0.0320 0.2798 0.5489
4 B 0.1559 0.4271 0.3115
5 B 0.1781 0.4826 0.6428
6 O 0.0691 0.3214 0.3532
7 O 0.0893 0.3801 0.6903
8 O 0.0901 0.1421 0.5891
9 O 0.1206 0.7330 0.0719
10 O 0.1961 0.4424 0.1240
11 O 0.2072 0.5141 0.4516
12 O 0.2477 0.5664 0.7687

5.
The following is a calculated PXRD pattern of Sm2GeB2O8. It was derived from a PBE-relaxed structure, using a wavelength of 1.5418 Å.
Lines closer than 0.1° are merged.

Main lines, in order of rising 2θ (5° ≤ 2θ ≤ 70°):
h k l  2theta  d [Å]  I (rel.)
0 0 2  18.67  4.754  27
3 1 0  27.90  3.198  54
1 1 2  28.14  3.172  100
4 0 2  32.20  2.780  57
3 1 2  33.78  2.654  26
0 0 4  37.85  2.377  26
2 1 4  45.17  2.007  17
3 1 4  47.67  1.908  25
4 2 2  52.47  1.744  19
7 1 2  54.69  1.678  30

abc: 13.7047 4.4791 9.5079
angles: 90.00 90.00 90.00
Space group Pbcn (No. 60)
Inequivalent atoms, fractional coordinates:
1 Sm 0.1406 0.0440 0.0263
2 Ge 0.0000 0.4205 0.7500
3 B 0.2003 0.4686 0.2955
4 O 0.0049 0.2003 0.9010
5 O 0.1067 0.3479 0.2315
6 O 0.1923 0.4616 0.4473
7 O 0.2176 0.2214 0.7396

6.
The following is a calculated PXRD pattern of Sr3Ge2B6O16. It was derived from a PBE-relaxed structure, using a wavelength of 1.5418 Å.
Lines closer than 0.1° are merged.

Main lines, in order of rising 2θ (5° ≤ 2θ ≤ 70°):
h k l  2theta  d [Å]  I (rel.)
1 0 1  18.83  4.712  41
0 2 1  24.43  3.643  55
0 1 -2  27.57  3.236  50
1 1 -1  27.83  3.206  56
1 2 1  29.72  3.006  65
1 -2 0  29.85  2.993  100
-1 1 2  31.60  2.832  75
0 1 3  32.47  2.758  39
2 0 1  35.60  2.522  40
2 2 2  43.90  2.062  35

abc: 5.0595 7.4573 8.5700
angles: 76.73 77.24 89.74
Space group P-1 (No. 2)
Inequivalent atoms, fractional coordinates:
1 Sr 0.0000 0.0000 0.0000
2 Sr 0.0921 0.5926 0.7578
3 Ge 0.3034 0.1868 0.5536
4 B 0.2655 0.7448 0.3043
5 B 0.4581 0.0889 0.2425
6 B 0.4609 0.3082 0.9612
7 O 0.0326 0.3083 0.6411
8 O 0.1892 0.3225 0.9871
9 O 0.2696 0.1867 0.3534
10 O 0.2964 0.9662 0.6889
11 O 0.3208 0.9364 0.2084
12 O 0.3712 0.6172 0.1952
13 O 0.3818 0.7040 0.4539
14 O 0.4115 0.7773 0.9141

7.
The following is a calculated PXRD pattern of TbGeBO5. It was derived from a PBE-relaxed structure, using a wavelength of 1.5418 Å.
Lines closer than 0.1° are merged.

Main lines, in order of rising 2θ (5° ≤ 2θ ≤ 70°):
h k l  2theta  d [Å]  I (rel.)
1 1 -1  19.75  4.496  100
0 2 1  25.74  3.461  67
1 1 1  26.97  3.306  43
1 1 -2  29.53  3.025  98
2 0 0  30.66  2.916  90
1 3 0  35.53  2.527  93
0 2 2  36.42  2.467  34
1 1 -3  42.68  2.118  44
3 1 -1  44.66  2.029  57
3 3 0  57.71  1.597  29

abc: 6.2862 8.4098 6.5673
angles: 90.00 111.93 90.00
Space group C2/c (No. 15)
Inequivalent atoms, fractional coordinates:
1 Tb 0.0000 0.1536 0.2500
2 Ge 0.0000 0.5000 0.0000
3 B 0.0000 0.1865 0.7500
4 O 0.0000 0.4196 0.2500
5 O 0.1041 0.2863 0.6219
6 O 0.1722 0.0755 0.9161

8.
The following is a calculated PXRD pattern of TlGe3B4O12. It was derived from a PBE-relaxed structure, using a wavelength of 1.5418 Å.
Lines closer than 0.1° are merged.

Main lines, in order of rising 2θ (5° ≤ 2θ ≤ 70°):
h k l  2theta  d [Å]  I (rel.)
1 0 1  15.26  5.807  25
1 1 0  18.58  4.775  21
0 2 1  24.13  3.688  90
2 1 1  30.63  2.919  24
2 0 2  30.80  2.903  100
1 2 2  36.21  2.481  17
2 2 0  37.67  2.388  25
3 1 2  45.36  1.999  17
0 2 4  49.87  1.828  21
2 2 3  50.91  1.794  29

abc: 9.5506 9.5506 8.1541
angles: 90.00 90.00 120.00
Space group R32 (No. 155, hexagonal axes)
Inequivalent atoms, fractional coordinates:
1 Tl 0.0000 0.0000 0.0000
2 Ge 0.0000 0.5473 0.0000
3 B 0.0000 0.0000 0.5000
4 B 0.0000 0.4445 0.5000
5 O 0.0000 0.5944 0.5000
6 O 0.0000 0.8531 0.5000
7 O 0.0204 0.2154 0.2205

9.
The following is a calculated PXRD pattern of Sm2Ge2BOs2. It was derived from a PBE-relaxed structure, using a wavelength of 1.5418 Å.
Lines closer than 0.1° are merged.

Main lines, in order of rising 2θ (5° ≤ 2θ ≤ 70°):
h k l  2theta  d [Å]  I (rel.)
2 0 -1  16.20  5.470  22
1 1 1  31.83  2.811  90
0 0 2  32.38  2.765  19
4 0 -1  33.52  2.673  27
3 1 -2  34.48  2.601  100
3 1 0  37.47  2.400  47
2 0 -3  39.34  2.290  38
0 2 0  42.21  2.141  44
5 1 -3  48.86  1.864  20
2 2 -3  59.06  1.564  24

abc: 11.1662 4.2824 7.1007
angles: 90.00 128.85 90.00
Space group C2/m (No. 12)
Inequivalent atoms, fractional coordinates:
1 Sm 0.0632 0.0000 0.3301
2 Ge 0.1588 0.5000 0.1122
3 B 0.0000 0.5000 0.5000
4 Os 0.2085 0.5000 0.8141

What did the third record say?
The following is a calculated PXRD pattern of Rb4Ge3B6O17. It was derived from a PBE-relaxed structure, using a wavelength of 1.5418 Å.
Lines closer than 0.1° are merged.

Main lines, in order of rising 2θ (5° ≤ 2θ ≤ 70°):
h k l  2theta  d [Å]  I (rel.)
0 2 0  25.21  3.532  49
3 1 -1  25.53  3.489  100
0 0 6  26.71  3.338  35
2 0 -6  27.39  3.256  47
1 1 5  28.21  3.164  51
3 1 -5  30.61  2.921  30
0 2 4  30.98  2.887  21
3 1 -7  36.49  2.462  16
2 2 -6  37.57  2.394  17
6 0 -4  45.64  1.988  14

abc: 12.0615 7.0640 20.6322
angles: 90.00 103.90 90.00
Space group Cc (No. 9)
Inequivalent atoms, fractional coordinates:
1 Rb 0.0000 0.1628 0.0000
2 Rb 0.0921 0.2711 0.1853
3 Rb 0.2910 0.2555 0.7354
4 Rb 0.2979 0.2370 0.9209
5 Ge 0.1198 0.2748 0.3812
6 Ge 0.1828 0.3468 0.5399
7 Ge 0.4668 0.2760 0.2116
8 B 0.0216 0.0911 0.8403
9 B 0.2896 0.3134 0.0981
10 B 0.3193 0.3073 0.3341
11 B 0.3276 0.0264 0.5843
12 B 0.4665 0.0722 0.3271
13 B 0.4768 0.2191 0.0810
14 O 0.0345 0.0514 0.7709
15 O 0.0469 0.2479 0.5322
16 O 0.0474 0.2863 0.8612
17 O 0.0483 0.2492 0.6509
18 O 0.1009 0.0301 0.3889
19 O 0.1848 0.4223 0.0704
20 O 0.2044 0.3586 0.3268
21 O 0.2115 0.3479 0.4588
22 O 0.2500 0.1085 0.0912
23 O 0.3018 0.2196 0.5888
24 O 0.3276 0.3581 0.1716
25 O 0.3466 0.1205 0.3314
26 O 0.3792 0.3459 0.0633
27 O 0.3975 0.4523 0.3415
28 O 0.4350 0.0142 0.0767
29 O 0.4658 0.0558 0.2537
30 O 0.4860 0.1176 0.8573